1.
Diffraction record for K7Rb5Fe4O10. The PXRD pattern is simulated, not measured: it uses a cell relaxed with GGA+U and Cu Kα X-rays.

Principal peaks in the range 2θ = 10–80°, in order of rising 2θ:
2θ (°)	I (rel.)
28.5	19
29.7	100
29.9	73
30.6	44
32.4	42
36.4	46
37.0	25
42.3	25

Structure:
abc: 7.0144 9.7217 9.7269
angles: 73.98 68.95 68.93
Sites, in units of the cell vectors:
K: 0.0000 0.0000 0.0000
K: 0.0001 0.4803 0.5195
K: 0.2469 0.7727 0.7322
K: 0.2488 0.2117 0.2907
K: 0.5001 0.9806 0.0194
K: 0.7471 0.7127 0.7917
K: 0.7490 0.2711 0.2307
Rb: 0.0011 0.8985 0.4169
Rb: 0.4929 0.0841 0.6050
Rb: 0.4989 0.4986 0.5021
Rb: 0.5005 0.3975 0.9185
Rb: 0.9925 0.5856 0.1039
Fe: 0.1079 0.3341 0.8554
Fe: 0.3993 0.6447 0.1620
Fe: 0.6106 0.8353 0.3527
Fe: 0.9018 0.1421 0.6633
O: 0.0401 0.2271 0.7457
O: 0.1487 0.5232 0.7641
O: 0.1570 0.2376 0.0416
O: 0.3361 0.4632 0.2624
O: 0.3364 0.7456 0.9808
O: 0.5397 0.7301 0.2427
O: 0.6573 0.0226 0.2576
O: 0.6578 0.7407 0.5400
O: 0.8368 0.9619 0.7655
O: 0.8449 0.2392 0.4799



2.
Diffraction record for K2Rb4Fe2O5. The PXRD pattern is simulated, not measured: it uses a cell relaxed with GGA+U and Cu Kα X-rays.

Principal peaks in the range 2θ = 10–80°, in order of rising 2θ:
2θ (°)	I (rel.)
19.4	13
29.6	100
29.7	27
32.3	20
36.4	28
41.6	14
47.7	21
52.6	15

Structure:
abc: 6.9607 6.9607 6.9776
angles: 90.05 90.05 119.65
Sites, in units of the cell vectors:
K: 0.2229 0.7771 0.0000
K: 0.7771 0.2229 0.0000
Rb: 0.2417 0.7583 0.5000
Rb: 0.3356 0.3356 0.1837
Rb: 0.6644 0.6644 0.8163
Rb: 0.7583 0.2417 0.5000
Fe: 0.1980 0.1980 0.6952
Fe: 0.8020 0.8020 0.3048
O: 0.0000 0.0000 0.5000
O: 0.1594 0.4332 0.7877
O: 0.4332 0.1594 0.7877
O: 0.5668 0.8406 0.2123
O: 0.8406 0.5668 0.2123